Entry 1:
This entry pairs a crystal structure of MgAg2O4 with its computed X-ray diffraction stick pattern. Radiation: Cu Kα, 1.54184 Å. Structure: DFT lattice parameters and positions (GGA-PBE).

Main lines, low angle first (15 to 90 degrees two-theta):
| 2θ (°) | d/Å | Rel. int. |
| --- | --- | --- |
| 17.45 | 5.082 | 33 |
| 28.01 | 3.186 | 28 |
| 28.36 | 3.147 | 47 |
| 28.51 | 3.131 | 54 |
| 32.63 | 2.744 | 95 |
| 32.78 | 2.732 | 63 |
| 33.18 | 2.700 | 100 |
| 33.49 | 2.676 | 31 |
| 33.63 | 2.665 | 36 |
| 53.36 | 1.717 | 35 |
| 57.89 | 1.593 | 40 |
| 58.68 | 1.573 | 38 |

Crystal structure
Unit cell a=10.800 b=6.479 c=15.494 alpha=90.00 beta=90.63 gamma=90.00
Space group Cm (No. 8)
Symmetry-distinct sites (fractional):
Mg  0.000  0.000  0.000 [2 per cell]
Mg  0.001  0.500  0.499 [2 per cell]
Mg  0.166  0.500  0.667 [2 per cell]
Mg  0.167  0.000  0.167 [2 per cell]
Mg  0.334  0.000  0.333 [2 per cell]
Mg  0.488  0.000  0.875 [2 per cell]
Ag  0.010  0.500  0.123 [2 per cell]
Ag  0.084  0.250  0.333 [4 per cell]
Ag  0.156  0.000  0.542 [2 per cell]
Ag  0.173  0.000  0.790 [2 per cell]
Ag  0.249  0.248  0.001 [4 per cell]
Ag  0.324  0.500  0.212 [2 per cell]
Ag  0.334  0.500  0.834 [2 per cell]
Ag  0.345  0.500  0.456 [2 per cell]
Ag  0.419  0.245  0.665 [4 per cell]
O  0.003  0.500  0.263 [2 per cell]
O  0.005  0.500  0.744 [2 per cell]
O  0.016  0.000  0.255 [2 per cell]
O  0.073  0.287  0.589 [4 per cell]
O  0.095  0.215  0.077 [4 per cell]
O  0.152  0.500  0.411 [2 per cell]
O  0.165  0.000  0.403 [2 per cell]
O  0.167  0.500  0.920 [2 per cell]
O  0.168  0.000  0.932 [2 per cell]
O  0.238  0.213  0.256 [4 per cell]
O  0.265  0.284  0.745 [4 per cell]
O  0.321  0.000  0.080 [2 per cell]
O  0.331  0.500  0.068 [2 per cell]
O  0.336  0.500  0.596 [2 per cell]
O  0.348  0.000  0.585 [2 per cell]
O  0.409  0.272  0.921 [4 per cell]
O  0.429  0.214  0.410 [4 per cell]
O  0.488  0.500  0.743 [2 per cell]



Entry 2:
This entry pairs a crystal structure of MgAg2O4 with its computed X-ray diffraction stick pattern. Radiation: Cu Kα, 1.54184 Å. Structure: DFT lattice parameters and positions (GGA-PBE).

Main lines, low angle first (15 to 90 degrees two-theta):
| 2θ (°) | d/Å | Rel. int. |
| --- | --- | --- |
| 18.06 | 4.912 | 54 |
| 18.72 | 4.741 | 32 |
| 28.01 | 3.185 | 19 |
| 29.23 | 3.056 | 44 |
| 31.94 | 2.802 | 100 |
| 33.10 | 2.706 | 38 |
| 34.57 | 2.595 | 21 |
| 37.67 | 2.388 | 35 |
| 40.36 | 2.235 | 31 |
| 42.07 | 2.148 | 27 |
| 58.40 | 1.580 | 22 |
| 58.78 | 1.571 | 21 |

Crystal structure
Unit cell a=3.185 b=10.824 c=9.825 alpha=90.00 beta=90.00 gamma=90.00
Space group Pbcm (No. 57)
Symmetry-distinct sites (fractional):
Mg  0.156  0.149  0.250 [4 per cell]
Ag  0.335  0.615  0.572 [8 per cell]
O  0.036  0.250  0.000 [4 per cell]
O  0.336  0.715  0.750 [4 per cell]
O  0.367  0.550  0.125 [8 per cell]